For Ba3Ru3N5, a PBE-relaxed structure gives the computed powder XRD pattern in this record (Cu Kα (λ = 1.5418 Å)).
No peak broadening, texture or thermal motion is included.

Top 10 peaks for 10° ≤ 2θ ≤ 90°, sorted by position:
2θ 27.5, 3.238 Å, I = 24
2θ 28.1, 3.174 Å, I = 64
2θ 29.3, 3.047 Å, I = 67
2θ 29.8, 2.995 Å, I = 67
2θ 30.8, 2.907 Å, I = 100
2θ 30.9, 2.894 Å, I = 55
2θ 31.8, 2.812 Å, I = 25
2θ 34.2, 2.623 Å, I = 26
2θ 37.1, 2.421 Å, I = 21
2θ 37.6, 2.395 Å, I = 29

```
22
Lattice="6.123 0.000 0.000 -1.830 7.910 0.000 -2.350 -2.947 8.342" Properties=species:S:1:pos:R:3 pbc="T T T"
Ba -0.605 1.744 3.167
Ba -0.761 -0.488 6.103
Ba -0.389 7.003 0.937
Ba 2.332 -2.040 7.405
Ba 2.704 5.451 2.239
Ba 2.548 3.219 5.175
Ru 0.093 3.594 0.712
Ru -0.272 5.172 4.076
Ru -0.571 2.774 6.921
Ru 2.514 2.189 1.421
Ru 2.214 -0.209 4.266
Ru 1.850 1.369 7.630
N -2.140 1.795 7.472
N 0.843 1.730 0.481
N 0.499 -1.040 3.579
N 0.129 4.406 2.414
N -0.713 3.896 5.430
N 2.656 1.067 2.912
N 1.814 0.557 5.928
N 1.444 6.003 4.763
N 1.100 3.233 7.861
N 4.083 3.168 0.870
```

***

For Pm6Te3Pb2S, a PBE-relaxed structure gives the computed powder XRD pattern in this record (Cu Kα (λ = 1.5418 Å)).
No peak broadening, texture or thermal motion is included.

Top 10 peaks for 10° ≤ 2θ ≤ 90°, sorted by position:
2θ 28.4, 3.138 Å, I = 100
2θ 40.5, 2.228 Å, I = 38
2θ 40.8, 2.214 Å, I = 13
2θ 40.9, 2.208 Å, I = 25
2θ 49.9, 1.827 Å, I = 6
2θ 50.5, 1.808 Å, I = 14
2θ 58.8, 1.570 Å, I = 9
2θ 66.4, 1.408 Å, I = 11
2θ 66.9, 1.398 Å, I = 11
2θ 74.2, 1.279 Å, I = 8

```
12
Lattice="9.692 -2.214 0.000 9.692 2.214 0.000 -2.160 0.000 8.645" Properties=species:S:1:pos:R:3 pbc="T T T"
Pm -0.479 0.000 1.934
Pm 17.703 0.000 6.711
Pm 5.546 0.000 3.644
Pm 4.690 0.000 7.960
Pm 12.534 0.000 0.684
Pm 11.678 0.000 5.001
Te 1.482 0.000 7.215
Te 8.612 0.000 4.322
Te 15.742 0.000 1.430
Pb 2.494 0.000 2.850
Pb 14.730 0.000 5.795
S 9.692 0.000 0.000
```

***

For PrAlGeBr, a PBE-relaxed structure gives the computed powder XRD pattern in this record (Cu Kα (λ = 1.5418 Å)).
No peak broadening, texture or thermal motion is included.

Top 10 peaks for 10° ≤ 2θ ≤ 90°, sorted by position:
2θ 12.6, 7.028 Å, I = 43
2θ 25.3, 3.515 Å, I = 16
2θ 28.1, 3.170 Å, I = 100
2θ 36.7, 2.447 Å, I = 25
2θ 38.4, 2.343 Å, I = 29
2θ 42.0, 2.153 Å, I = 53
2θ 43.8, 2.065 Å, I = 17
2θ 51.3, 1.781 Å, I = 19
2θ 58.2, 1.585 Å, I = 18
2θ 74.3, 1.277 Å, I = 16

```
8
Lattice="2.153 1.243 14.056 -2.153 1.243 14.056 0.000 -2.486 14.056" Properties=species:S:1:pos:R:3 pbc="T T T"
Pr 0.000 0.000 3.381
Pr 0.000 0.000 38.785
Al 0.000 0.000 13.075
Al 0.000 0.000 29.092
Ge 0.000 0.000 15.637
Ge 0.000 0.000 26.530
Br 0.000 0.000 8.861
Br 0.000 0.000 33.306
```

***

For NdTiFe11C, a PBE-relaxed structure gives the computed powder XRD pattern in this record (Cu Kα (λ = 1.5418 Å)).
No peak broadening, texture or thermal motion is included.

Top 10 peaks for 10° ≤ 2θ ≤ 90°, sorted by position:
2θ 29.6, 3.020 Å, I = 32
2θ 36.3, 2.472 Å, I = 33
2θ 36.6, 2.458 Å, I = 16
2θ 42.2, 2.140 Å, I = 100
2θ 42.4, 2.134 Å, I = 71
2θ 42.6, 2.124 Å, I = 26
2θ 47.5, 1.912 Å, I = 31
2θ 69.5, 1.353 Å, I = 13
2θ 77.2, 1.236 Å, I = 15
2θ 77.7, 1.229 Å, I = 14

```
14
Lattice="-2.472 4.284 4.249 2.472 -4.284 4.249 2.472 4.284 -4.249" Properties=species:S:1:pos:R:3 pbc="T T T"
Nd 0.000 0.000 0.000
Ti 0.000 0.000 3.180
Fe 1.233 2.129 -2.074
Fe 3.710 2.129 -2.074
Fe 2.472 1.890 0.077
Fe 2.472 0.000 1.960
Fe 0.000 3.082 0.056
Fe -1.238 2.155 2.175
Fe 1.238 2.155 2.175
Fe 0.000 5.487 0.056
Fe 0.000 0.000 5.510
Fe 0.000 4.284 2.386
Fe 0.000 2.394 4.326
C 2.472 0.000 0.044
```

***

For SrSb2Au3, a PBE-relaxed structure gives the computed powder XRD pattern in this record (Cu Kα (λ = 1.5418 Å)).
No peak broadening, texture or thermal motion is included.

Top 10 peaks for 10° ≤ 2θ ≤ 90°, sorted by position:
2θ 12.6, 7.009 Å, I = 61
2θ 25.4, 3.504 Å, I = 42
2θ 30.1, 2.967 Å, I = 54
2θ 30.4, 2.937 Å, I = 32
2θ 31.3, 2.859 Å, I = 47
2θ 32.8, 2.731 Å, I = 45
2θ 33.2, 2.698 Å, I = 54
2θ 34.6, 2.593 Å, I = 70
2θ 35.2, 2.553 Å, I = 100
2θ 35.6, 2.520 Å, I = 34

```
12
Lattice="5.127 0.000 0.000 -0.502 7.729 0.000 -1.820 -3.617 7.778" Properties=species:S:1:pos:R:3 pbc="T T T"
Sr 0.181 -0.204 2.364
Sr 2.623 4.316 5.414
Sb 0.141 3.951 2.608
Sb 0.025 2.677 7.547
Sb 2.779 1.436 0.231
Sb 2.663 0.162 5.170
Au 0.216 2.472 0.234
Au 0.080 2.352 4.796
Au 0.099 -0.783 5.585
Au 2.705 4.896 2.193
Au 2.723 1.761 2.982
Au 2.588 1.640 7.545
```

***

Repeat the fourth record exactly.
For NdTiFe11C, a PBE-relaxed structure gives the computed powder XRD pattern in this record (Cu Kα (λ = 1.5418 Å)).
No peak broadening, texture or thermal motion is included.

Top 10 peaks for 10° ≤ 2θ ≤ 90°, sorted by position:
2θ 29.6, 3.020 Å, I = 32
2θ 36.3, 2.472 Å, I = 33
2θ 36.6, 2.458 Å, I = 16
2θ 42.2, 2.140 Å, I = 100
2θ 42.4, 2.134 Å, I = 71
2θ 42.6, 2.124 Å, I = 26
2θ 47.5, 1.912 Å, I = 31
2θ 69.5, 1.353 Å, I = 13
2θ 77.2, 1.236 Å, I = 15
2θ 77.7, 1.229 Å, I = 14

```
14
Lattice="-2.472 4.284 4.249 2.472 -4.284 4.249 2.472 4.284 -4.249" Properties=species:S:1:pos:R:3 pbc="T T T"
Nd 0.000 0.000 0.000
Ti 0.000 0.000 3.180
Fe 1.233 2.129 -2.074
Fe 3.710 2.129 -2.074
Fe 2.472 1.890 0.077
Fe 2.472 0.000 1.960
Fe 0.000 3.082 0.056
Fe -1.238 2.155 2.175
Fe 1.238 2.155 2.175
Fe 0.000 5.487 0.056
Fe 0.000 0.000 5.510
Fe 0.000 4.284 2.386
Fe 0.000 2.394 4.326
C 2.472 0.000 0.044
```